[1]
This entry pairs a crystal structure of Co2CuCl6 with its simulated powder X-ray diffraction pattern. Radiation: Cu Kα. Structure: a DFT-relaxed cell (PBE, Alexandria).
No peak broadening, texture or thermal motion is included.

```
data_Co2CuCl6
_chemical_formula_sum 'Co8 Cu4 Cl24'
_cell_length_a 13.411
_cell_length_b 13.471
_cell_length_c 6.185
_cell_angle_alpha 90.00
_cell_angle_beta 114.33
_cell_angle_gamma 90.00
_symmetry_space_group_name_H-M 'C 1 2/c 1'
_symmetry_Int_Tables_number 15
loop_
_symmetry_equiv_pos_as_xyz
'x,y,z'
'-x,-y,-z'
'-x,y,-z+1/2'
'x,-y,z+1/2'
'x+1/2,y+1/2,z'
'-x+1/2,-y+1/2,-z'
'-x+1/2,y+1/2,-z+1/2'
'x+1/2,-y+1/2,z+1/2'
loop_
_atom_site_label
_atom_site_type_symbol
_atom_site_fract_x
_atom_site_fract_y
_atom_site_fract_z
_atom_site_occupancy
Co1 Co 0.231 0.084 0.351 1
Cu1 Cu 0.000 0.276 0.250 1
Cl1 Cl 0.099 0.375 0.569 1
Cl2 Cl 0.108 0.188 0.115 1
Cl3 Cl 0.202 0.069 0.685 1
```

Principal peaks in the range 2θ = 15–90°, in order of rising 2θ:
- d 5.614, 15.79°, I = 85, hkl 1 1 -1
- d 4.525, 19.62°, I = 100, hkl 2 2 0
- d 4.322, 20.55°, I = 18, hkl 0 2 1
- d 4.211, 21.10°, I = 42, hkl 2 2 -1
- d 3.899, 22.81°, I = 22, hkl 3 1 0
- d 3.166, 28.18°, I = 76, hkl 1 3 1
- d 2.977, 30.01°, I = 17, hkl 4 2 -1
- d 2.954, 30.26°, I = 20, hkl 2 4 0
- d 2.117, 42.70°, I = 19, hkl 6 0 -2
- d 2.015, 44.99°, I = 23, hkl 1 5 -2
- d 1.810, 50.43°, I = 34, hkl 5 5 0
- d 1.739, 52.64°, I = 15, hkl 6 2 -3

---

[2]
This entry pairs a crystal structure of CoCuCl2 with its simulated powder X-ray diffraction pattern. Radiation: Cu Kα. Structure: a DFT-relaxed cell (PBE, Alexandria).
No peak broadening, texture or thermal motion is included.

```
data_CoCuCl2
_chemical_formula_sum 'Co3 Cu3 Cl6'
_cell_length_a 3.3790
_cell_length_b 3.3790
_cell_length_c 22.3580
_cell_angle_alpha 90.00
_cell_angle_beta 90.00
_cell_angle_gamma 120.00
_symmetry_space_group_name_H-M 'R 3 m'
_symmetry_Int_Tables_number 160
_symmetry_space_group_name_Hall 'R 3 -2"'
loop_
_atom_site_label
_atom_site_type_symbol
_atom_site_fract_x
_atom_site_fract_y
_atom_site_fract_z
_atom_site_occupancy
Co1 Co 0.0000 0.0000 0.0000 1
Cu1 Cu 0.0000 0.0000 0.7389 1
Cl1 Cl 0.0000 0.0000 0.2876 1
Cl2 Cl 0.0000 0.0000 0.4644 1
```

Principal peaks in the range 2θ = 15–90°, in order of rising 2θ:
- d 3.726, 23.88°, I = 6, hkl 0 0 6
- d 2.593, 34.60°, I = 100, hkl 1 0 4
- d 2.158, 41.87°, I = 51, hkl 1 0 7
- d 2.021, 44.85°, I = 19, hkl 0 1 8
- d 1.690, 54.30°, I = 34, hkl 1 1 0
- d 1.669, 55.01°, I = 27, hkl 0 1 11
- d 1.648, 55.79°, I = 14, hkl 1 1 3
- d 1.491, 62.29°, I = 4, hkl 0 0 15
- d 1.415, 66.00°, I = 13, hkl 0 2 4
- d 1.330, 70.84°, I = 9, hkl 0 2 7
- d 1.187, 80.96°, I = 8, hkl 2 0 11
- d 1.118, 87.22°, I = 9, hkl 1 1 15

---

[3]
This entry pairs a crystal structure of CoCu2Cl6 with its simulated powder X-ray diffraction pattern. Radiation: Cu Kα. Structure: a DFT-relaxed cell (PBE, Alexandria).
No peak broadening, texture or thermal motion is included.

```
data_CoCu2Cl6
_chemical_formula_sum 'Co4 Cu8 Cl24'
_cell_length_a 13.241
_cell_length_b 13.057
_cell_length_c 6.531
_cell_angle_alpha 90.00
_cell_angle_beta 114.67
_cell_angle_gamma 90.00
_symmetry_space_group_name_H-M 'C 1 2/c 1'
_symmetry_Int_Tables_number 15
loop_
_symmetry_equiv_pos_as_xyz
'x,y,z'
'-x,-y,-z'
'-x,y,-z+1/2'
'x,-y,z+1/2'
'x+1/2,y+1/2,z'
'-x+1/2,-y+1/2,-z'
'-x+1/2,y+1/2,-z+1/2'
'x+1/2,-y+1/2,z+1/2'
loop_
_atom_site_label
_atom_site_type_symbol
_atom_site_fract_x
_atom_site_fract_y
_atom_site_fract_z
_atom_site_occupancy
Co1 Co 0.000 0.210 0.250 1
Cu1 Cu 0.217 0.429 0.387 1
Cl1 Cl 0.100 0.113 0.538 1
Cl2 Cl 0.108 0.305 0.146 1
Cl3 Cl 0.189 0.422 0.702 1
```

Principal peaks in the range 2θ = 15–90°, in order of rising 2θ:
- d 5.825, 15.21°, I = 100, hkl 1 1 -1
- d 4.424, 20.07°, I = 74, hkl 2 2 0
- d 4.222, 21.04°, I = 17, hkl 2 2 -1
- d 3.834, 23.20°, I = 36, hkl 3 1 0
- d 3.166, 28.19°, I = 71, hkl 1 3 1
- d 3.116, 28.64°, I = 18, hkl 1 1 -2
- d 2.995, 29.83°, I = 21, hkl 3 1 -2
- d 2.941, 30.39°, I = 24, hkl 4 2 -1
- d 2.122, 42.60°, I = 20, hkl 6 0 -2
- d 1.892, 48.09°, I = 24, hkl 4 4 1
- d 1.805, 50.56°, I = 21, hkl 2 4 -3
- d 1.770, 51.65°, I = 19, hkl 5 5 0

---

[4]
This entry pairs a crystal structure of Na2CoCuCl6 with its simulated powder X-ray diffraction pattern. Radiation: Cu Kα. Structure: a DFT-relaxed cell (PBE, Alexandria).
No peak broadening, texture or thermal motion is included.

```
data_Na2CoCuCl6
_chemical_formula_sum 'Na2 Co1 Cu1 Cl6'
_cell_length_a 6.559
_cell_length_b 6.565
_cell_length_c 6.645
_cell_angle_alpha 119.53
_cell_angle_beta 90.04
_cell_angle_gamma 119.97
_symmetry_space_group_name_H-M 'P 1'
_symmetry_Int_Tables_number 1
loop_
_symmetry_equiv_pos_as_xyz
'x,y,z'
loop_
_atom_site_label
_atom_site_type_symbol
_atom_site_fract_x
_atom_site_fract_y
_atom_site_fract_z
_atom_site_occupancy
Na1 Na 0.000 0.000 0.000 1
Na2 Na 0.493 0.986 0.479 1
Co1 Co 0.780 0.560 0.341 1
Cu1 Cu 0.275 0.550 0.826 1
Cl1 Cl 0.021 0.475 0.102 1
Cl2 Cl 0.109 0.039 0.587 1
Cl3 Cl 0.454 0.082 0.102 1
Cl4 Cl 0.547 0.657 0.587 1
Cl5 Cl 0.627 0.648 0.102 1
Cl6 Cl 0.931 0.478 0.588 1
```

Principal peaks in the range 2θ = 15–90°, in order of rising 2θ:
- d 4.670, 19.00°, I = 100, hkl 0 1 0
- d 3.323, 26.83°, I = 31, hkl 0 1 -2
- d 3.281, 27.18°, I = 17, hkl 1 -2 1
- d 2.813, 31.81°, I = 53, hkl 2 -1 1
- d 2.335, 38.56°, I = 70, hkl 0 2 0
- d 2.130, 42.44°, I = 11, hkl 1 2 -2
- d 2.099, 43.09°, I = 48, hkl 1 -2 3
- d 2.078, 43.55°, I = 13, hkl 2 -3 2
- d 1.902, 47.81°, I = 19, hkl 2 1 0
- d 1.895, 48.02°, I = 27, hkl 3 -3 1
- d 1.662, 55.28°, I = 17, hkl 2 0 2
- d 1.548, 59.74°, I = 13, hkl 3 1 -1

---

[5]
This entry pairs a crystal structure of Tl2CoCuCl6 with its simulated powder X-ray diffraction pattern. Radiation: Cu Kα. Structure: a DFT-relaxed cell (PBE, Alexandria).
No peak broadening, texture or thermal motion is included.

```
data_Tl2CoCuCl6
_chemical_formula_sum 'Tl4 Co2 Cu2 Cl12'
_cell_length_a 6.829
_cell_length_b 6.828
_cell_length_c 11.810
_cell_angle_alpha 90.00
_cell_angle_beta 125.33
_cell_angle_gamma 90.00
_symmetry_space_group_name_H-M 'P 1 21/c 1'
_symmetry_Int_Tables_number 14
loop_
_symmetry_equiv_pos_as_xyz
'x,y,z'
'-x,-y,-z'
'-x,y+1/2,-z+1/2'
'x,-y+1/2,z+1/2'
loop_
_atom_site_label
_atom_site_type_symbol
_atom_site_fract_x
_atom_site_fract_y
_atom_site_fract_z
_atom_site_occupancy
Tl1 Tl 0.250 0.000 0.250 1
Co1 Co 0.000 0.000 0.500 1
Cu1 Cu 0.500 0.000 0.000 1
Cl1 Cl 0.238 0.242 0.499 1
Cl2 Cl 0.241 0.738 0.999 1
Cl3 Cl 0.243 0.000 0.741 1
```

Principal peaks in the range 2θ = 15–90°, in order of rising 2θ:
- d 4.825, 18.39°, I = 18, hkl 0 0 2
- d 3.412, 26.12°, I = 100, hkl 1 1 1
- d 2.786, 32.13°, I = 44, hkl 2 0 0
- d 2.412, 37.27°, I = 52, hkl 0 0 4
- d 2.158, 41.87°, I = 11, hkl 2 2 0
- d 1.970, 46.08°, I = 45, hkl 2 0 2
- d 1.706, 53.73°, I = 34, hkl 2 2 2
- d 1.527, 60.66°, I = 14, hkl 4 2 -4
- d 1.456, 63.96°, I = 11, hkl 2 4 0
- d 1.393, 67.21°, I = 11, hkl 4 0 0
- d 1.290, 73.40°, I = 15, hkl 4 2 0
- d 1.289, 73.49°, I = 8, hkl 3 1 -9

---

[6]
This entry pairs a crystal structure of Dy4CoCl5 with its simulated powder X-ray diffraction pattern. Radiation: Cu Kα. Structure: a DFT-relaxed cell (PBE, Alexandria).
No peak broadening, texture or thermal motion is included.

```
data_Dy4CoCl5
_chemical_formula_sum 'Dy8 Co2 Cl10'
_cell_length_a 19.470
_cell_length_b 3.802
_cell_length_c 8.171
_cell_angle_alpha 90.00
_cell_angle_beta 90.22
_cell_angle_gamma 90.00
_symmetry_space_group_name_H-M 'C 1 2/m 1'
_symmetry_Int_Tables_number 12
loop_
_symmetry_equiv_pos_as_xyz
'x,y,z'
'-x,-y,-z'
'-x,y,-z'
'x,-y,z'
'x+1/2,y+1/2,z'
'-x+1/2,-y+1/2,-z'
'-x+1/2,y+1/2,-z'
'x+1/2,-y+1/2,z'
loop_
_atom_site_label
_atom_site_type_symbol
_atom_site_fract_x
_atom_site_fract_y
_atom_site_fract_z
_atom_site_occupancy
Dy1 Dy 0.000 0.000 0.218 1
Dy2 Dy 0.134 0.500 0.001 1
Co1 Co 0.000 0.500 0.000 1
Cl1 Cl 0.000 0.500 0.500 1
Cl2 Cl 0.155 0.000 0.236 1
Cl3 Cl 0.155 0.000 0.767 1
```

Principal peaks in the range 2θ = 15–90°, in order of rising 2θ:
- d 4.182, 21.25°, I = 17, hkl 4 0 1
- d 3.280, 27.19°, I = 19, hkl 3 1 0
- d 3.245, 27.49°, I = 36, hkl 6 0 0
- d 3.044, 29.34°, I = 23, hkl 3 1 1
- d 2.755, 32.50°, I = 100, hkl 1 1 -2
- d 2.720, 32.93°, I = 17, hkl 5 1 0
- d 2.434, 36.93°, I = 19, hkl 8 0 0
- d 2.200, 41.03°, I = 22, hkl 1 1 -3
- d 1.970, 46.08°, I = 26, hkl 7 1 -2
- d 1.965, 46.20°, I = 26, hkl 7 1 2
- d 1.901, 47.85°, I = 14, hkl 0 2 0
- d 1.730, 52.92°, I = 14, hkl 7 1 3

---

[7]
This entry pairs a crystal structure of Dy2CoCl with its simulated powder X-ray diffraction pattern. Radiation: Cu Kα. Structure: a DFT-relaxed cell (PBE, Alexandria).
No peak broadening, texture or thermal motion is included.

```
data_Dy2CoCl
_chemical_formula_sum 'Dy6 Co3 Cl3'
_cell_length_a 3.8051
_cell_length_b 3.8051
_cell_length_c 22.3427
_cell_angle_alpha 90.00
_cell_angle_beta 90.00
_cell_angle_gamma 120.00
_symmetry_space_group_name_H-M 'R 3 m'
_symmetry_Int_Tables_number 160
_symmetry_space_group_name_Hall 'R 3 -2"'
loop_
_atom_site_label
_atom_site_type_symbol
_atom_site_fract_x
_atom_site_fract_y
_atom_site_fract_z
_atom_site_occupancy
Dy1 Dy 0.0000 0.0000 0.0000 1
Dy2 Dy 0.0000 0.0000 0.2028 1
Co1 Co 0.0000 0.0000 0.6010 1
Cl1 Cl 0.0000 0.0000 0.4301 1
```

Principal peaks in the range 2θ = 15–90°, in order of rising 2θ:
- d 3.724, 23.90°, I = 11, hkl 0 0 6
- d 3.260, 27.36°, I = 34, hkl 1 0 1
- d 3.161, 28.24°, I = 19, hkl 0 1 2
- d 2.838, 31.52°, I = 35, hkl 1 0 4
- d 2.652, 33.80°, I = 100, hkl 0 1 5
- d 2.483, 36.18°, I = 10, hkl 0 0 9
- d 1.903, 47.81°, I = 40, hkl 1 1 0
- d 1.849, 49.28°, I = 29, hkl 1 0 10
- d 1.546, 59.83°, I = 19, hkl 2 0 5
- d 1.510, 61.40°, I = 13, hkl 1 1 9
- d 1.200, 79.97°, I = 16, hkl 1 2 5
- d 1.173, 82.19°, I = 12, hkl 1 1 15

---

[8]
This entry pairs a crystal structure of RbErCoCl6 with its simulated powder X-ray diffraction pattern. Radiation: Cu Kα. Structure: a DFT-relaxed cell (PBE, Alexandria).
No peak broadening, texture or thermal motion is included.

```
data_RbErCoCl6
_chemical_formula_sum 'Rb2 Er2 Co2 Cl12'
_cell_length_a 6.636
_cell_length_b 11.520
_cell_length_c 7.400
_cell_angle_alpha 90.00
_cell_angle_beta 90.23
_cell_angle_gamma 90.00
_symmetry_space_group_name_H-M 'C 1 2 1'
_symmetry_Int_Tables_number 5
loop_
_symmetry_equiv_pos_as_xyz
'x,y,z'
'-x,y,-z'
'x+1/2,y+1/2,z'
'-x+1/2,y+1/2,-z'
loop_
_atom_site_label
_atom_site_type_symbol
_atom_site_fract_x
_atom_site_fract_y
_atom_site_fract_z
_atom_site_occupancy
Rb1 Rb 0.000 0.000 0.000 1
Er1 Er 0.000 0.666 0.500 1
Co1 Co 0.000 0.333 0.500 1
Cl1 Cl 0.120 0.491 0.700 1
Cl2 Cl 0.173 0.191 0.696 1
Cl3 Cl 0.200 0.818 0.696 1
```

Principal peaks in the range 2θ = 15–90°, in order of rising 2θ:
- d 5.753, 15.40°, I = 14, hkl 1 1 0
- d 4.542, 19.54°, I = 100, hkl 0 2 1
- d 3.322, 26.84°, I = 20, hkl 2 0 0
- d 3.112, 28.69°, I = 7, hkl 0 2 2
- d 3.031, 29.47°, I = 27, hkl 2 0 -1
- d 2.681, 33.42°, I = 20, hkl 0 4 1
- d 2.472, 36.34°, I = 61, hkl 1 3 2
- d 2.266, 39.78°, I = 10, hkl 1 1 3
- d 2.087, 43.36°, I = 24, hkl 3 1 -1
- d 1.918, 47.40°, I = 21, hkl 0 6 0
- d 1.618, 56.92°, I = 8, hkl 1 3 -4
- d 1.561, 59.19°, I = 8, hkl 3 5 -1